1.
Structure and simulated XRD peak list of Rb4NaPb3Br12 (the GGA-PBE geometry in Alexandria; Cu Kα (weighted mean of Kα1 and Kα2)).
Kinematic intensities with the Lorentz-polarization factor, no thermal factor.

Structure:
```
data_Rb4NaPb3Br12
_cell_length_a 11.7217
_cell_length_b 11.7217
_cell_length_c 11.7217
_cell_angle_alpha 90.00
_cell_angle_beta 90.00
_cell_angle_gamma 90.00
_symmetry_space_group_name_H-M 'I m -3 m'
_symmetry_Int_Tables_number 229
_symmetry_space_group_name_Hall '-I 4 2 3'
loop_
_atom_site_label
_atom_site_fract_x
_atom_site_fract_y
_atom_site_fract_z
Rb1 0.2500 0.2500 0.2500
Na1 0.0000 0.0000 0.0000
Pb1 0.0000 0.0000 0.5000
Br1 0.0000 0.0000 0.2510
Br2 0.0000 0.2500 0.5000
```

Largest 10 diffraction maxima, in order of rising 2θ, 2θ from 10° to 90°:
d [Å]  I_rel
5.861  51.3
4.144  51.4
3.384  25.2
2.930  100.0
2.621  29.2
2.393  25.5
2.072  73.9
1.692  25.9
1.311  33.4
1.196  25.3

=====

2.
Structure and simulated XRD peak list of NaSrPbBr5 (the GGA-PBE geometry in Alexandria; Cu Kα (weighted mean of Kα1 and Kα2)).
Kinematic intensities with the Lorentz-polarization factor, no thermal factor.

Structure:
```
data_NaSrPbBr5
_cell_length_a 9.7317
_cell_length_b 13.3075
_cell_length_c 10.8300
_cell_angle_alpha 90.00
_cell_angle_beta 116.45
_cell_angle_gamma 90.00
_symmetry_space_group_name_H-M 'C 1 2/c 1'
_symmetry_Int_Tables_number 15
loop_
_symmetry_equiv_pos_as_xyz
'x,y,z'
'-x,-y,-z'
'-x,y,-z+1/2'
'x,-y,z+1/2'
'x+1/2,y+1/2,z'
'-x+1/2,-y+1/2,-z'
'-x+1/2,y+1/2,-z+1/2'
'x+1/2,-y+1/2,z+1/2'
loop_
_atom_site_label
_atom_site_fract_x
_atom_site_fract_y
_atom_site_fract_z
Na1 0.0000 0.0715 0.2500
Sr1 0.2500 0.2500 0.0000
Pb1 0.0000 0.3856 0.2500
Br1 0.0000 0.3699 0.7500
Br2 0.0376 0.2199 0.4481
Br3 0.2346 0.0708 0.8193
```

Largest 10 diffraction maxima, in order of rising 2θ, 2θ from 10° to 90°:
d [Å]  I_rel
7.288  65.4
5.486  61.7
4.998  67.4
4.348  49.5
3.918  77.2
3.482  58.8
3.111  100.0
2.743  71.8
2.424  77.2
2.285  52.6

=====

3.
Structure and simulated XRD peak list of NaTaPb2Br (the GGA-PBE geometry in Alexandria; Cu Kα (weighted mean of Kα1 and Kα2)).
Kinematic intensities with the Lorentz-polarization factor, no thermal factor.

Structure:
```
data_NaTaPb2Br
_cell_length_a 5.4759
_cell_length_b 5.4759
_cell_length_c 5.3350
_cell_angle_alpha 90.00
_cell_angle_beta 90.00
_cell_angle_gamma 90.00
_symmetry_space_group_name_H-M 'P 4/m m m'
_symmetry_Int_Tables_number 123
_symmetry_space_group_name_Hall '-P 4 2'
loop_
_atom_site_label
_atom_site_fract_x
_atom_site_fract_y
_atom_site_fract_z
Na1 0.0000 0.0000 0.0000
Ta1 0.0000 0.0000 0.5000
Pb1 0.0000 0.5000 0.0000
Br1 0.5000 0.5000 0.5000
```

Largest 10 diffraction maxima, in order of rising 2θ, 2θ from 10° to 90°:
d [Å]  I_rel
3.134  100.0
2.738  40.7
2.668  19.0
1.936  15.1
1.911  28.9
1.647  31.5
1.616  14.8
1.567  15.4
1.241  12.7
1.113  10.7

=====

Repeat the second record exactly.
Structure and simulated XRD peak list of NaSrPbBr5 (the GGA-PBE geometry in Alexandria; Cu Kα (weighted mean of Kα1 and Kα2)).
Kinematic intensities with the Lorentz-polarization factor, no thermal factor.

Structure:
```
data_NaSrPbBr5
_cell_length_a 9.7317
_cell_length_b 13.3075
_cell_length_c 10.8300
_cell_angle_alpha 90.00
_cell_angle_beta 116.45
_cell_angle_gamma 90.00
_symmetry_space_group_name_H-M 'C 1 2/c 1'
_symmetry_Int_Tables_number 15
loop_
_symmetry_equiv_pos_as_xyz
'x,y,z'
'-x,-y,-z'
'-x,y,-z+1/2'
'x,-y,z+1/2'
'x+1/2,y+1/2,z'
'-x+1/2,-y+1/2,-z'
'-x+1/2,y+1/2,-z+1/2'
'x+1/2,-y+1/2,z+1/2'
loop_
_atom_site_label
_atom_site_fract_x
_atom_site_fract_y
_atom_site_fract_z
Na1 0.0000 0.0715 0.2500
Sr1 0.2500 0.2500 0.0000
Pb1 0.0000 0.3856 0.2500
Br1 0.0000 0.3699 0.7500
Br2 0.0376 0.2199 0.4481
Br3 0.2346 0.0708 0.8193
```

Largest 10 diffraction maxima, in order of rising 2θ, 2θ from 10° to 90°:
d [Å]  I_rel
7.288  65.4
5.486  61.7
4.998  67.4
4.348  49.5
3.918  77.2
3.482  58.8
3.111  100.0
2.743  71.8
2.424  77.2
2.285  52.6